1.
This entry pairs a crystal structure of TbTl2OsO8 with its calculated powder XRD pattern. Radiation: Cu Kα X-rays. Structure: a cell relaxed with GGA-PBE.
No peak broadening, texture or thermal motion is included.

Atomic structure:
```
data_TbTl2OsO8
_cell_length_a 5.091
_cell_length_b 6.728
_cell_length_c 5.103
_cell_angle_alpha 90.00
_cell_angle_beta 91.04
_cell_angle_gamma 90.00
_space_group_name_H-M_alt 'P 1 2/m 1'
_space_group_IT_number 10
loop_
_space_group_symop_operation_xyz
'x,y,z'
'-x,-y,-z'
'-x,y,-z'
'x,-y,z'
loop_
_atom_site_label
_atom_site_fract_x
_atom_site_fract_y
_atom_site_fract_z
Tb1 0.000 0.000 0.000
Tl1 0.500 0.251 0.500
Os1 0.000 0.500 0.000
O1 0.178 0.291 0.824
O2 0.267 0.500 0.269
O3 0.303 0.000 0.306
```

Largest 10 diffraction maxima, low angle first, 2θ from 10° to 90°:
| hkl | d_spacing | I/Imax |
| --- | --- | --- |
| 1 0 -1 | 3.637 | 59 |
| 1 0 1 | 3.571 | 53 |
| 1 2 0 | 2.808 | 100 |
| 0 0 2 | 2.548 | 32 |
| 1 2 -2 | 1.897 | 20 |
| 2 2 -1 | 1.896 | 20 |
| 2 2 1 | 1.878 | 37 |
| 0 2 3 | 1.518 | 11 |
| 3 2 0 | 1.515 | 11 |
| 0 4 2 | 1.404 | 12 |

***

2.
This entry pairs a crystal structure of YTlZn2 with its calculated powder XRD pattern. Radiation: Cu Kα X-rays. Structure: a cell relaxed with GGA-PBE.
No peak broadening, texture or thermal motion is included.

Atomic structure:
```
data_YTlZn2
_cell_length_a 3.556
_cell_length_b 4.415
_cell_length_c 5.906
_cell_angle_alpha 90.00
_cell_angle_beta 106.30
_cell_angle_gamma 90.00
_space_group_name_H-M_alt 'P 1 m 1'
_space_group_IT_number 6
loop_
_space_group_symop_operation_xyz
'x,y,z'
'x,-y,z'
loop_
_atom_site_label
_atom_site_fract_x
_atom_site_fract_y
_atom_site_fract_z
Y1 0.000 0.000 0.000
Tl1 0.319 0.500 0.659
Zn1 0.599 0.500 0.210
Zn2 0.704 0.000 0.445
```

Largest 10 diffraction maxima, low angle first, 2θ from 10° to 90°:
| hkl | d_spacing | I/Imax |
| --- | --- | --- |
| 0 0 1 | 5.669 | 26 |
| 0 1 1 | 3.483 | 50 |
| 1 1 0 | 2.700 | 81 |
| 1 1 -1 | 2.680 | 90 |
| 1 0 1 | 2.618 | 55 |
| 1 0 -2 | 2.563 | 49 |
| 0 1 2 | 2.385 | 100 |
| 0 2 0 | 2.207 | 49 |
| 1 2 1 | 1.687 | 31 |
| 1 2 -2 | 1.672 | 27 |

***

3.
This entry pairs a crystal structure of BI4 with its calculated powder XRD pattern. Radiation: Cu Kα X-rays. Structure: a cell relaxed with GGA-PBE.
No peak broadening, texture or thermal motion is included.

Atomic structure:
```
data_BI4
_cell_length_a 6.927
_cell_length_b 6.927
_cell_length_c 9.090
_cell_angle_alpha 90.00
_cell_angle_beta 90.00
_cell_angle_gamma 90.00
_space_group_name_H-M_alt 'I -4 2 m'
_space_group_IT_number 121
_space_group_name_Hall 'I -4 2'
loop_
_atom_site_label
_atom_site_fract_x
_atom_site_fract_y
_atom_site_fract_z
B1 0.000 0.000 0.000
I1 0.189 0.189 0.861
```

Largest 10 diffraction maxima, low angle first, 2θ from 10° to 90°:
| hkl | d_spacing | I/Imax |
| --- | --- | --- |
| 1 0 1 | 5.510 | 32 |
| 2 0 0 | 3.464 | 38 |
| 1 1 2 | 3.332 | 100 |
| 2 1 1 | 2.932 | 52 |
| 3 0 1 | 2.238 | 15 |
| 2 1 3 | 2.166 | 14 |
| 2 0 4 | 1.900 | 13 |
| 3 2 1 | 1.880 | 13 |
| 3 0 3 | 1.837 | 16 |
| 4 1 1 | 1.652 | 18 |

***

4.
This entry pairs a crystal structure of LaPaAg2O6 with its calculated powder XRD pattern. Radiation: Cu Kα X-rays. Structure: a cell relaxed with GGA-PBE.
No peak broadening, texture or thermal motion is included.

Atomic structure:
```
data_LaPaAg2O6
_cell_length_a 10.185
_cell_length_b 6.371
_cell_length_c 5.892
_cell_angle_alpha 90.00
_cell_angle_beta 124.83
_cell_angle_gamma 90.00
_space_group_name_H-M_alt 'C 1 2/m 1'
_space_group_IT_number 12
loop_
_space_group_symop_operation_xyz
'x,y,z'
'-x,-y,-z'
'-x,y,-z'
'x,-y,z'
'x+1/2,y+1/2,z'
'-x+1/2,-y+1/2,-z'
'-x+1/2,y+1/2,-z'
'x+1/2,-y+1/2,z'
loop_
_atom_site_label
_atom_site_fract_x
_atom_site_fract_y
_atom_site_fract_z
La1 0.000 0.000 0.000
Pa1 0.000 0.500 0.500
Ag1 0.248 0.500 0.190
O1 0.087 0.258 0.820
O2 0.226 0.500 0.556
```

Largest 10 diffraction maxima, low angle first, 2θ from 10° to 90°:
| hkl | d_spacing | I/Imax |
| --- | --- | --- |
| 1 1 -1 | 4.326 | 22 |
| 0 2 0 | 3.185 | 56 |
| 1 1 1 | 3.016 | 100 |
| 3 1 -1 | 2.996 | 96 |
| 2 0 -2 | 2.946 | 29 |
| 2 2 -2 | 2.163 | 41 |
| 4 0 0 | 2.090 | 19 |
| 1 3 1 | 1.805 | 23 |
| 3 3 -1 | 1.800 | 21 |
| 4 2 0 | 1.748 | 27 |

***

5.
This entry pairs a crystal structure of Bi8Pb3 with its calculated powder XRD pattern. Radiation: Cu Kα X-rays. Structure: a cell relaxed with GGA-PBE.
No peak broadening, texture or thermal motion is included.

Atomic structure:
```
data_Bi8Pb3
_cell_length_a 4.6517
_cell_length_b 4.6517
_cell_length_c 63.5592
_cell_angle_alpha 90.00
_cell_angle_beta 90.00
_cell_angle_gamma 120.00
_space_group_name_H-M_alt 'R -3 m'
_space_group_IT_number 166
_space_group_name_Hall '-R 3 2"'
loop_
_atom_site_label
_atom_site_fract_x
_atom_site_fract_y
_atom_site_fract_z
Bi1 0.0000 0.0000 0.0490
Bi2 0.0000 0.0000 0.1362
Bi3 0.0000 0.0000 0.3207
Bi4 0.0000 0.0000 0.4075
Pb1 0.0000 0.0000 0.2229
Pb2 0.0000 0.0000 0.5000
```

Largest 10 diffraction maxima, low angle first, 2θ from 10° to 90°:
| hkl | d_spacing | I/Imax |
| --- | --- | --- |
| 0 1 11 | 3.305 | 100 |
| 1 0 22 | 2.348 | 36 |
| 1 1 0 | 2.326 | 41 |
| 2 0 11 | 1.902 | 22 |
| 0 2 22 | 1.652 | 13 |
| 1 1 33 | 1.483 | 15 |
| 1 2 11 | 1.472 | 20 |
| 2 1 22 | 1.347 | 13 |
| 3 0 0 | 1.343 | 8 |
| 3 1 11 | 1.097 | 8 |

***

6.
This entry pairs a crystal structure of Er5Nb2O12 with its calculated powder XRD pattern. Radiation: Cu Kα X-rays. Structure: a cell relaxed with GGA-PBE.
No peak broadening, texture or thermal motion is included.

Atomic structure:
```
data_Er5Nb2O12
_cell_length_a 12.318
_cell_length_b 5.867
_cell_length_c 7.388
_cell_angle_alpha 90.00
_cell_angle_beta 107.54
_cell_angle_gamma 90.00
_space_group_name_H-M_alt 'C 1 2/m 1'
_space_group_IT_number 12
loop_
_space_group_symop_operation_xyz
'x,y,z'
'-x,-y,-z'
'-x,y,-z'
'x,-y,z'
'x+1/2,y+1/2,z'
'-x+1/2,-y+1/2,-z'
'-x+1/2,y+1/2,-z'
'x+1/2,-y+1/2,z'
loop_
_atom_site_label
_atom_site_fract_x
_atom_site_fract_y
_atom_site_fract_z
Er1 0.000 0.000 0.000
Er2 0.190 0.500 0.322
Er3 0.199 0.500 0.864
Nb1 0.000 0.241 0.500
O1 0.001 0.500 0.301
O2 0.002 0.000 0.303
O3 0.154 0.251 0.073
O4 0.168 0.267 0.587
```

Largest 10 diffraction maxima, low angle first, 2θ from 10° to 90°:
| hkl | d_spacing | I/Imax |
| --- | --- | --- |
| 3 1 0 | 3.257 | 96 |
| 1 1 -2 | 3.126 | 100 |
| 0 2 0 | 2.935 | 34 |
| 3 1 -2 | 2.760 | 22 |
| 0 2 1 | 2.708 | 21 |
| 2 0 2 | 2.687 | 53 |
| 2 2 2 | 1.982 | 34 |
| 3 3 0 | 1.750 | 23 |
| 6 2 -2 | 1.643 | 32 |
| 1 1 4 | 1.607 | 20 |

***

7.
This entry pairs a crystal structure of CeSi2Au5 with its calculated powder XRD pattern. Radiation: Cu Kα X-rays. Structure: a cell relaxed with GGA-PBE.
No peak broadening, texture or thermal motion is included.

Atomic structure:
```
data_CeSi2Au5
_cell_length_a 4.318
_cell_length_b 7.246
_cell_length_c 10.002
_cell_angle_alpha 90.00
_cell_angle_beta 90.00
_cell_angle_gamma 90.00
_space_group_name_H-M_alt 'I m m m'
_space_group_IT_number 71
_space_group_name_Hall '-I 2 2'
loop_
_atom_site_label
_atom_site_fract_x
_atom_site_fract_y
_atom_site_fract_z
Ce1 0.000 0.000 0.000
Si1 0.000 0.500 0.248
Au1 0.000 0.201 0.354
Au2 0.000 0.500 0.000
```

Largest 10 diffraction maxima, low angle first, 2θ from 10° to 90°:
| hkl | d_spacing | I/Imax |
| --- | --- | --- |
| 0 1 1 | 5.868 | 24 |
| 0 2 2 | 2.934 | 23 |
| 1 2 1 | 2.675 | 98 |
| 1 0 3 | 2.639 | 100 |
| 2 0 0 | 2.159 | 35 |
| 1 3 0 | 2.108 | 26 |
| 0 2 4 | 2.058 | 40 |
| 0 3 3 | 1.956 | 15 |
| 2 2 4 | 1.490 | 28 |
| 1 2 7 | 1.270 | 18 |

***

8.
This entry pairs a crystal structure of PrThTeIr with its calculated powder XRD pattern. Radiation: Cu Kα X-rays. Structure: a cell relaxed with GGA-PBE.
No peak broadening, texture or thermal motion is included.

Atomic structure:
```
data_PrThTeIr
_cell_length_a 4.2210
_cell_length_b 4.2210
_cell_length_c 23.2369
_cell_angle_alpha 90.00
_cell_angle_beta 90.00
_cell_angle_gamma 120.00
_space_group_name_H-M_alt 'R 3 m'
_space_group_IT_number 160
_space_group_name_Hall 'R 3 -2"'
loop_
_atom_site_label
_atom_site_fract_x
_atom_site_fract_y
_atom_site_fract_z
Pr1 0.0000 0.0000 0.0000
Th1 0.0000 0.0000 0.8023
Te1 0.0000 0.0000 0.2341
Ir1 0.0000 0.0000 0.4067
```

Largest 10 diffraction maxima, low angle first, 2θ from 10° to 90°:
| hkl | d_spacing | I/Imax |
| --- | --- | --- |
| 0 0 3 | 7.746 | 31 |
| 0 1 2 | 3.487 | 36 |
| 1 0 4 | 3.094 | 10 |
| 0 1 5 | 2.873 | 100 |
| 1 0 7 | 2.457 | 26 |
| 1 1 0 | 2.110 | 49 |
| 1 0 10 | 1.961 | 23 |
| 2 0 5 | 1.701 | 22 |
| 1 1 12 | 1.427 | 12 |
| 1 2 5 | 1.324 | 19 |

***

9.
This entry pairs a crystal structure of Tb2Pr2Hg with its calculated powder XRD pattern. Radiation: Cu Kα X-rays. Structure: a cell relaxed with GGA-PBE.
No peak broadening, texture or thermal motion is included.

Atomic structure:
```
data_Tb2Pr2Hg
_cell_length_a 3.673
_cell_length_b 3.673
_cell_length_c 23.237
_cell_angle_alpha 90.00
_cell_angle_beta 90.00
_cell_angle_gamma 90.00
_space_group_name_H-M_alt 'I 4/m m m'
_space_group_IT_number 139
_space_group_name_Hall '-I 4 2'
loop_
_atom_site_label
_atom_site_fract_x
_atom_site_fract_y
_atom_site_fract_z
Tb1 0.000 0.000 0.083
Pr1 0.000 0.000 0.307
Hg1 0.000 0.000 0.500
```

Largest 10 diffraction maxima, low angle first, 2θ from 10° to 90°:
| hkl | d_spacing | I/Imax |
| --- | --- | --- |
| 1 0 5 | 2.882 | 100 |
| 1 1 0 | 2.597 | 43 |
| 1 0 7 | 2.463 | 11 |
| 0 0 10 | 2.324 | 9 |
| 2 0 0 | 1.836 | 15 |
| 1 1 10 | 1.732 | 15 |
| 2 1 5 | 1.549 | 31 |
| 2 0 10 | 1.441 | 8 |
| 3 0 5 | 1.184 | 7 |
| 3 1 0 | 1.161 | 7 |

***

10.
This entry pairs a crystal structure of TiNb3Sb with its calculated powder XRD pattern. Radiation: Cu Kα X-rays. Structure: a cell relaxed with GGA-PBE.
No peak broadening, texture or thermal motion is included.

Atomic structure:
```
data_TiNb3Sb
_cell_length_a 5.400
_cell_length_b 4.764
_cell_length_c 7.430
_cell_angle_alpha 90.00
_cell_angle_beta 103.37
_cell_angle_gamma 90.00
_space_group_name_H-M_alt 'P 1 21/m 1'
_space_group_IT_number 11
loop_
_space_group_symop_operation_xyz
'x,y,z'
'-x,-y,-z'
'-x,y+1/2,-z'
'x,-y+1/2,z'
loop_
_atom_site_label
_atom_site_fract_x
_atom_site_fract_y
_atom_site_fract_z
Ti1 0.141 0.250 0.044
Nb1 0.028 0.750 0.352
Nb2 0.249 0.750 0.756
Nb3 0.344 0.250 0.434
Sb1 0.437 0.750 0.170
```

Largest 10 diffraction maxima, low angle first, 2θ from 10° to 90°:
| hkl | d_spacing | I/Imax |
| --- | --- | --- |
| 1 0 -3 | 2.412 | 52 |
| 0 2 0 | 2.382 | 53 |
| 1 1 2 | 2.349 | 100 |
| 2 1 -1 | 2.333 | 96 |
| 1 2 -3 | 1.695 | 34 |
| 3 0 1 | 1.619 | 15 |
| 0 1 5 | 1.383 | 15 |
| 1 3 2 | 1.369 | 17 |
| 2 3 -1 | 1.366 | 17 |
| 3 2 1 | 1.338 | 22 |

***

11.
This entry pairs a crystal structure of PmBH with its calculated powder XRD pattern. Radiation: Cu Kα X-rays. Structure: a cell relaxed with GGA-PBE.
No peak broadening, texture or thermal motion is included.

Atomic structure:
```
data_PmBH
_cell_length_a 3.616
_cell_length_b 3.186
_cell_length_c 7.175
_cell_angle_alpha 90.00
_cell_angle_beta 104.54
_cell_angle_gamma 90.00
_space_group_name_H-M_alt 'P 1 21/m 1'
_space_group_IT_number 11
loop_
_space_group_symop_operation_xyz
'x,y,z'
'-x,-y,-z'
'-x,y+1/2,-z'
'x,-y+1/2,z'
loop_
_atom_site_label
_atom_site_fract_x
_atom_site_fract_y
_atom_site_fract_z
Pm1 0.131 0.250 0.261
B1 0.489 0.250 0.976
H1 0.305 0.250 0.606
```

Largest 10 diffraction maxima, low angle first, 2θ from 10° to 90°:
| hkl | d_spacing | I/Imax |
| --- | --- | --- |
| 1 0 -1 | 3.500 | 64 |
| 0 0 2 | 3.473 | 72 |
| 0 1 1 | 2.896 | 100 |
| 1 0 1 | 2.850 | 67 |
| 1 1 0 | 2.356 | 65 |
| 1 1 -2 | 2.124 | 35 |
| 0 1 3 | 1.873 | 30 |
| 1 1 2 | 1.812 | 34 |
| 2 1 0 | 1.534 | 30 |
| 0 2 2 | 1.449 | 22 |